Diffraction record for Pm4YHg2. The X-ray powder pattern is theoretical, not measured: it uses a cell relaxed with PBE and λ = 1.5418 Å (Cu Kα).
Neutral-atom scattering factors, no anomalous dispersion.

Principal peaks in the range 2θ = 10–90°, by angle:
d [Å], Position (°2θ), intensity
5.045, 17.6, 18
4.481, 19.8, 24
3.887, 22.9, 34
2.616, 34.3, 100
2.517, 35.7, 80
2.322, 38.8, 16
1.814, 50.3, 32
1.510, 61.4, 19
1.491, 62.3, 31
1.161, 83.2, 15

Structure:
```
Pm4YHg2
1.0
2.616 1.510 10.090
-2.616 1.510 10.090
0.000 -3.021 10.090
Pm Y Hg
4 1 2
Cartesian
0.000 0.000 3.315 Pm
0.000 0.000 8.919 Pm
0.000 0.000 21.351 Pm
0.000 0.000 26.955 Pm
0.000 0.000 15.135 Y
0.000 0.000 12.087 Hg
0.000 0.000 18.182 Hg
```

=====

Diffraction record for LaDyMgTc. The X-ray powder pattern is theoretical, not measured: it uses a cell relaxed with PBE and λ = 1.5418 Å (Cu Kα).
Neutral-atom scattering factors, no anomalous dispersion.

Principal peaks in the range 2θ = 10–90°, by angle:
d [Å], Position (°2θ), intensity
4.203, 21.1, 8
3.640, 24.5, 20
2.574, 34.9, 100
2.195, 41.1, 4
2.102, 43.0, 6
1.820, 50.1, 18
1.628, 56.5, 8
1.486, 62.5, 36
1.287, 73.6, 11
1.151, 84.1, 16

Structure:
```
LaDyMgTc
1.0
7.280 0.000 0.000
0.000 7.280 0.000
0.000 0.000 7.280
La Dy Mg Tc
4 4 4 4
Cartesian
0.000 0.000 0.000 La
0.000 3.640 3.640 La
3.640 0.000 3.640 La
3.640 3.640 0.000 La
0.000 0.000 3.640 Dy
0.000 3.640 0.000 Dy
3.640 0.000 0.000 Dy
3.640 3.640 3.640 Dy
1.820 1.820 1.820 Mg
1.820 5.460 5.460 Mg
5.460 1.820 5.460 Mg
5.460 5.460 1.820 Mg
1.820 1.820 5.460 Tc
1.820 5.460 1.820 Tc
5.460 1.820 1.820 Tc
5.460 5.460 5.460 Tc
```

=====

Diffraction record for Pr12Sm5Er. The X-ray powder pattern is theoretical, not measured: it uses a cell relaxed with PBE and λ = 1.5418 Å (Cu Kα).
Neutral-atom scattering factors, no anomalous dispersion.

Principal peaks in the range 2θ = 10–90°, by angle:
d [Å], Position (°2θ), intensity
3.005, 29.7, 100
2.602, 34.5, 51
1.840, 49.5, 36
1.569, 58.8, 43
1.502, 61.7, 12
1.302, 72.6, 4
1.300, 72.7, 2
1.194, 80.4, 18
1.164, 82.9, 8
1.163, 83.0, 8

Structure:
```
Pr12Sm5Er
1.0
7.801 -7.806 0.000
7.801 7.806 0.000
0.000 0.000 5.210
Pr Sm Er
12 5 1
Cartesian
5.227 5.211 2.605 Pr
2.566 0.000 0.000 Pr
5.217 2.603 0.000 Pr
10.375 5.211 2.605 Pr
5.212 0.000 2.605 Pr
10.385 2.603 0.000 Pr
5.217 -2.603 0.000 Pr
10.390 0.000 2.605 Pr
5.227 -5.211 2.605 Pr
10.385 -2.603 0.000 Pr
13.035 0.000 0.000 Pr
10.375 -5.211 2.605 Pr
7.801 5.217 0.000 Sm
7.801 2.604 2.605 Sm
7.801 0.000 0.000 Sm
7.801 -2.604 2.605 Sm
7.801 -5.217 0.000 Sm
0.000 0.000 2.605 Er
```

=====

Diffraction record for Na2Hg2BiO6. The X-ray powder pattern is theoretical, not measured: it uses a cell relaxed with PBE and λ = 1.5418 Å (Cu Kα).
Neutral-atom scattering factors, no anomalous dispersion.

Principal peaks in the range 2θ = 10–90°, by angle:
d [Å], Position (°2θ), intensity
5.193, 17.1, 100
3.786, 23.5, 44
3.009, 29.7, 28
2.799, 32.0, 22
2.791, 32.1, 43
2.752, 32.5, 16
2.492, 36.0, 55
2.406, 37.4, 23
1.777, 51.4, 17
1.688, 54.4, 16

Structure:
```
Na2Hg2BiO6
1.0
3.129 -5.139 0.000
3.129 5.139 0.000
-1.601 0.000 5.598
Na Hg Bi O
2 2 1 6
Cartesian
3.129 3.505 0.000 Na
3.129 -3.505 0.000 Na
2.329 1.691 2.799 Hg
2.329 -1.691 2.799 Hg
3.129 0.000 0.000 Bi
0.854 1.641 4.281 O
1.319 0.000 1.057 O
0.854 -1.641 4.281 O
3.804 1.641 1.318 O
3.338 0.000 4.541 O
3.804 -1.641 1.318 O
```

=====

Diffraction record for LaPr2S4. The X-ray powder pattern is theoretical, not measured: it uses a cell relaxed with PBE and λ = 1.5418 Å (Cu Kα).
Neutral-atom scattering factors, no anomalous dispersion.

Principal peaks in the range 2θ = 10–90°, by angle:
d [Å], Position (°2θ), intensity
3.770, 23.6, 100
3.711, 24.0, 26
3.403, 26.2, 26
3.355, 26.6, 25
2.939, 30.4, 41
2.752, 32.5, 54
2.222, 40.6, 45
2.028, 44.7, 28
2.017, 44.9, 21
1.775, 51.5, 25

Structure:
```
LaPr2S4
1.0
2.011 -6.807 0.000
2.011 6.807 0.000
0.000 0.000 13.584
La Pr S
2 4 8
Cartesian
2.011 5.123 10.188 La
2.011 -5.123 3.396 La
2.011 1.765 7.728 Pr
2.011 1.765 12.648 Pr
2.011 -1.765 0.936 Pr
2.011 -1.765 5.856 Pr
0.000 0.000 0.000 S
0.000 0.000 6.792 S
2.011 3.059 1.672 S
2.011 3.059 5.120 S
2.011 0.372 10.188 S
2.011 -0.372 3.396 S
2.011 -3.059 8.464 S
2.011 -3.059 11.911 S
```